No. 1
The following is a calculated powder XRD pattern of La4Pm2In. It was derived from a crystal structure in Alexandria, relaxed with GGA-PBE, using λ = 1.5418 Å (Cu Kα).
Peak positions follow from Bragg's law for the DFT cell and can differ from measured ones.

The 10 most intense peaks (2θ from 5° to 70°), by angle:
| 2θ/deg | I (rel.) |
| --- | --- |
| 13.12 | 7 |
| 31.45 | 100 |
| 32.41 | 12 |
| 32.67 | 12 |
| 33.83 | 21 |
| 47.55 | 8 |
| 47.74 | 8 |
| 52.62 | 8 |
| 59.04 | 16 |
| 62.39 | 7 |

Structure:
a = 6.956 Å, b = 6.956 Å, c = 10.598 Å
α = 90.00°, β = 90.00°, γ = 104.01°
Sites, in units of the cell vectors:
La (0.000, 0.500, 0.250)
La (0.000, 0.500, 0.750)
La (0.189, 0.190, 0.500)
La (0.190, 0.189, 0.000)
La (0.500, 0.000, 0.250)
La (0.500, 0.000, 0.750)
La (0.810, 0.811, 0.000)
La (0.811, 0.810, 0.500)
Pm (0.308, 0.690, 0.000)
Pm (0.310, 0.692, 0.500)
Pm (0.690, 0.308, 0.500)
Pm (0.692, 0.310, 0.000)
In (0.500, 0.500, 0.250)
In (0.500, 0.500, 0.750)

---

No. 2
The following is a calculated powder XRD pattern of LaPmIn4. It was derived from a crystal structure in Alexandria, relaxed with GGA-PBE, using λ = 1.5418 Å (Cu Kα).
Peak positions follow from Bragg's law for the DFT cell and can differ from measured ones.

The 10 most intense peaks (2θ from 5° to 70°), by angle:
| 2θ/deg | I (rel.) |
| --- | --- |
| 29.38 | 53 |
| 30.51 | 34 |
| 31.61 | 100 |
| 34.72 | 61 |
| 36.82 | 24 |
| 37.60 | 39 |
| 49.17 | 18 |
| 53.64 | 16 |
| 57.43 | 25 |
| 67.86 | 18 |

Structure:
a = 6.430 Å, b = 6.430 Å, c = 6.430 Å
α = 136.32°, β = 107.60°, γ = 88.53°
Sites, in units of the cell vectors:
La (0.000, 0.000, 0.000)
Pm (0.616, 0.116, 0.500)
In (0.010, 0.715, 0.295)
In (0.195, 0.395, 0.799)
In (0.419, 0.715, 0.705)
In (0.596, 0.395, 0.201)

---

No. 3
The following is a calculated powder XRD pattern of La7Pm2In2. It was derived from a crystal structure in Alexandria, relaxed with GGA-PBE, using λ = 1.5418 Å (Cu Kα).
Peak positions follow from Bragg's law for the DFT cell and can differ from measured ones.

The 10 most intense peaks (2θ from 5° to 70°), by angle:
| 2θ/deg | I (rel.) |
| --- | --- |
| 23.89 | 69 |
| 25.13 | 46 |
| 27.46 | 69 |
| 29.10 | 42 |
| 33.09 | 53 |
| 33.22 | 93 |
| 33.57 | 100 |
| 40.04 | 67 |
| 42.87 | 47 |
| 53.87 | 42 |

Structure:
a = 6.767 Å, b = 6.767 Å, c = 9.373 Å
α = 90.00°, β = 90.00°, γ = 106.27°
Sites, in units of the cell vectors:
La (0.000, 0.000, 0.000)
La (0.000, 0.500, 0.291)
La (0.000, 0.500, 0.709)
La (0.500, 0.000, 0.291)
La (0.500, 0.000, 0.709)
La (0.500, 0.500, 0.307)
La (0.500, 0.500, 0.693)
Pm (0.341, 0.659, 0.000)
Pm (0.659, 0.341, 0.000)
In (0.168, 0.168, 0.500)
In (0.832, 0.832, 0.500)

---

No. 4
The following is a calculated powder XRD pattern of La4PmIn. It was derived from a crystal structure in Alexandria, relaxed with GGA-PBE, using λ = 1.5418 Å (Cu Kα).
Peak positions follow from Bragg's law for the DFT cell and can differ from measured ones.

The 10 most intense peaks (2θ from 5° to 70°), by angle:
| 2θ/deg | I (rel.) |
| --- | --- |
| 31.39 | 100 |
| 31.49 | 17 |
| 40.90 | 6 |
| 44.98 | 13 |
| 45.09 | 7 |
| 52.58 | 5 |
| 55.80 | 11 |
| 55.90 | 18 |
| 62.50 | 14 |
| 65.42 | 5 |

Structure:
a = 5.692 Å, b = 9.892 Å, c = 8.981 Å
α = 90.00°, β = 129.18°, γ = 90.00°
Sites, in units of the cell vectors:
La (0.214, 0.079, 0.487)
La (0.214, 0.921, 0.987)
La (0.258, 0.421, 0.487)
La (0.258, 0.579, 0.987)
La (0.742, 0.421, 0.013)
La (0.742, 0.579, 0.513)
La (0.786, 0.079, 0.013)
La (0.786, 0.921, 0.513)
Pm (0.000, 0.250, 0.750)
Pm (0.000, 0.750, 0.250)
In (0.500, 0.250, 0.250)
In (0.500, 0.750, 0.750)

---

No. 5
The following is a calculated powder XRD pattern of LaPmIn4. It was derived from a crystal structure in Alexandria, relaxed with GGA-PBE, using λ = 1.5418 Å (Cu Kα).
Peak positions follow from Bragg's law for the DFT cell and can differ from measured ones.

The 10 most intense peaks (2θ from 5° to 70°), by angle:
| 2θ/deg | I (rel.) |
| --- | --- |
| 11.74 | 1 |
| 20.41 | 1 |
| 23.61 | 4 |
| 31.41 | 100 |
| 35.75 | 75 |
| 43.29 | 5 |
| 48.31 | 40 |
| 61.53 | 58 |
| 64.23 | 13 |
| 69.45 | 1 |

Structure:
a = 5.024 Å, b = 5.024 Å, c = 7.537 Å
α = 90.00°, β = 90.00°, γ = 120.00°
Sites, in units of the cell vectors:
La (0.000, 0.000, 0.000)
Pm (0.000, 0.000, 0.500)
In (0.333, 0.667, 0.257)
In (0.333, 0.667, 0.743)
In (0.667, 0.333, 0.257)
In (0.667, 0.333, 0.743)

---

No. 6
The following is a calculated powder XRD pattern of La5PmPr2In. It was derived from a crystal structure in Alexandria, relaxed with GGA-PBE, using λ = 1.5418 Å (Cu Kα).
Peak positions follow from Bragg's law for the DFT cell and can differ from measured ones.

The 10 most intense peaks (2θ from 5° to 70°), by angle:
| 2θ/deg | I (rel.) |
| --- | --- |
| 25.95 | 7 |
| 27.49 | 9 |
| 29.03 | 25 |
| 31.44 | 100 |
| 32.09 | 12 |
| 45.56 | 9 |
| 48.86 | 6 |
| 56.00 | 17 |
| 59.28 | 7 |
| 65.65 | 6 |

Structure:
a = 10.564 Å, b = 10.564 Å, c = 11.155 Å
α = 90.00°, β = 90.00°, γ = 148.78°
Sites, in units of the cell vectors:
La (0.000, 0.000, 0.000)
La (0.000, 0.000, 0.500)
La (0.121, 0.879, 0.751)
La (0.210, 0.790, 0.450)
La (0.212, 0.788, 0.054)
La (0.490, 0.510, 0.751)
La (0.510, 0.490, 0.251)
La (0.788, 0.212, 0.554)
La (0.790, 0.210, 0.950)
La (0.879, 0.121, 0.251)
Pm (0.309, 0.691, 0.752)
Pm (0.691, 0.309, 0.252)
Pr (0.382, 0.618, 0.456)
Pr (0.383, 0.617, 0.047)
Pr (0.617, 0.383, 0.547)
Pr (0.618, 0.382, 0.956)
In (0.093, 0.907, 0.249)
In (0.907, 0.093, 0.749)

---

No. 7
The following is a calculated powder XRD pattern of LaPm2SmIn4. It was derived from a crystal structure in Alexandria, relaxed with GGA-PBE, using λ = 1.5418 Å (Cu Kα).
Peak positions follow from Bragg's law for the DFT cell and can differ from measured ones.

The 8 most intense peaks (2θ from 5° to 70°), by angle:
| 2θ/deg | I (rel.) |
| --- | --- |
| 22.97 | 1 |
| 32.72 | 100 |
| 46.94 | 18 |
| 52.89 | 1 |
| 58.38 | 28 |
| 58.44 | 9 |
| 68.51 | 6 |
| 68.62 | 6 |

Structure:
a = 9.493 Å, b = 9.493 Å, c = 9.493 Å
α = 33.49°, β = 33.49°, γ = 33.49°
Sites, in units of the cell vectors:
La (0.000, 0.000, 0.000)
Pm (0.250, 0.250, 0.250)
Pm (0.750, 0.750, 0.750)
Sm (0.500, 0.500, 0.500)
In (0.126, 0.126, 0.126)
In (0.376, 0.376, 0.376)
In (0.624, 0.624, 0.624)
In (0.874, 0.874, 0.874)

---

No. 8
The following is a calculated powder XRD pattern of LaPm2Zn2In2. It was derived from a crystal structure in Alexandria, relaxed with GGA-PBE, using λ = 1.5418 Å (Cu Kα).
Peak positions follow from Bragg's law for the DFT cell and can differ from measured ones.

The 10 most intense peaks (2θ from 5° to 70°), by angle:
| 2θ/deg | I (rel.) |
| --- | --- |
| 21.68 | 25 |
| 30.79 | 93 |
| 33.16 | 76 |
| 37.61 | 100 |
| 49.36 | 25 |
| 51.00 | 22 |
| 62.41 | 35 |
| 63.67 | 23 |
| 65.06 | 21 |
| 67.87 | 17 |

Structure:
a = 9.896 Å, b = 9.896 Å, c = 9.896 Å
α = 27.97°, β = 27.97°, γ = 27.97°
Sites, in units of the cell vectors:
La (0.000, 0.000, 0.000)
Pm (0.130, 0.130, 0.130)
Pm (0.870, 0.870, 0.870)
Zn (0.409, 0.409, 0.409)
Zn (0.591, 0.591, 0.591)
In (0.262, 0.262, 0.262)
In (0.738, 0.738, 0.738)

---

No. 9
The following is a calculated powder XRD pattern of La6PrIn2. It was derived from a crystal structure in Alexandria, relaxed with GGA-PBE, using λ = 1.5418 Å (Cu Kα).
Peak positions follow from Bragg's law for the DFT cell and can differ from measured ones.

The 10 most intense peaks (2θ from 5° to 70°), by angle:
| 2θ/deg | I (rel.) |
| --- | --- |
| 30.16 | 100 |
| 30.66 | 94 |
| 34.16 | 69 |
| 37.36 | 29 |
| 48.40 | 13 |
| 51.51 | 43 |
| 58.33 | 14 |
| 58.46 | 13 |
| 59.22 | 13 |
| 59.35 | 12 |

Structure:
a = 8.247 Å, b = 8.247 Å, c = 8.358 Å
α = 108.91°, β = 108.91°, γ = 33.93°
Sites, in units of the cell vectors:
La (0.098, 0.098, 0.145)
La (0.223, 0.223, 0.844)
La (0.331, 0.331, 0.511)
La (0.669, 0.669, 0.489)
La (0.777, 0.777, 0.156)
La (0.902, 0.902, 0.855)
Pr (0.000, 0.000, 0.500)
In (0.441, 0.441, 0.181)
In (0.559, 0.559, 0.819)

---

No. 10
The following is a calculated powder XRD pattern of La3Pr8In2. It was derived from a crystal structure in Alexandria, relaxed with GGA-PBE, using λ = 1.5418 Å (Cu Kα).
Peak positions follow from Bragg's law for the DFT cell and can differ from measured ones.

The 10 most intense peaks (2θ from 5° to 70°), by angle:
| 2θ/deg | I (rel.) |
| --- | --- |
| 26.82 | 49 |
| 27.82 | 32 |
| 31.08 | 89 |
| 31.46 | 100 |
| 32.61 | 40 |
| 33.45 | 58 |
| 34.88 | 39 |
| 35.60 | 35 |
| 50.11 | 43 |
| 55.27 | 49 |

Structure:
a = 12.771 Å, b = 12.771 Å, c = 12.771 Å
α = 30.18°, β = 30.18°, γ = 30.18°
Sites, in units of the cell vectors:
La (0.000, 0.000, 0.000)
La (0.191, 0.191, 0.191)
La (0.809, 0.809, 0.809)
Pr (0.229, 0.718, 0.718)
Pr (0.282, 0.282, 0.771)
Pr (0.282, 0.771, 0.282)
Pr (0.285, 0.285, 0.285)
Pr (0.715, 0.715, 0.715)
Pr (0.718, 0.229, 0.718)
Pr (0.718, 0.718, 0.229)
Pr (0.771, 0.282, 0.282)
In (0.370, 0.370, 0.370)
In (0.630, 0.630, 0.630)

---

No. 11
The following is a calculated powder XRD pattern of La4Pr3In. It was derived from a crystal structure in Alexandria, relaxed with GGA-PBE, using λ = 1.5418 Å (Cu Kα).
Peak positions follow from Bragg's law for the DFT cell and can differ from measured ones.

The 10 most intense peaks (2θ from 5° to 70°), by angle:
| 2θ/deg | I (rel.) |
| --- | --- |
| 28.09 | 24 |
| 30.39 | 25 |
| 32.02 | 100 |
| 41.86 | 15 |
| 49.71 | 19 |
| 55.04 | 18 |
| 58.08 | 3 |
| 59.39 | 20 |
| 60.36 | 15 |
| 66.95 | 3 |

Structure:
a = 11.764 Å, b = 7.336 Å, c = 6.354 Å
α = 90.00°, β = 90.00°, γ = 90.00°
Sites, in units of the cell vectors:
La (0.000, 0.116, 0.000)
La (0.000, 0.869, 0.560)
La (0.227, 0.863, 0.193)
La (0.273, 0.137, 0.693)
La (0.500, 0.131, 0.060)
La (0.500, 0.884, 0.500)
La (0.727, 0.137, 0.693)
La (0.773, 0.863, 0.193)
Pr (0.000, 0.376, 0.533)
Pr (0.244, 0.384, 0.206)
Pr (0.256, 0.616, 0.706)
Pr (0.500, 0.624, 0.033)
Pr (0.744, 0.616, 0.706)
Pr (0.756, 0.384, 0.206)
In (0.000, 0.606, 0.028)
In (0.500, 0.394, 0.528)

---

No. 12
The following is a calculated powder XRD pattern of La2PrIn3. It was derived from a crystal structure in Alexandria, relaxed with GGA-PBE, using λ = 1.5418 Å (Cu Kα).
Peak positions follow from Bragg's law for the DFT cell and can differ from measured ones.

The 8 most intense peaks (2θ from 5° to 70°), by angle:
| 2θ/deg | I (rel.) |
| --- | --- |
| 22.63 | 1 |
| 32.15 | 100 |
| 45.93 | 6 |
| 46.20 | 12 |
| 57.20 | 12 |
| 57.38 | 25 |
| 67.19 | 8 |
| 67.40 | 4 |

Structure:
a = 3.930 Å, b = 3.930 Å, c = 11.856 Å
α = 90.00°, β = 90.00°, γ = 90.00°
Sites, in units of the cell vectors:
La (0.000, 0.000, 0.168)
La (0.000, 0.000, 0.832)
Pr (0.000, 0.000, 0.500)
In (0.500, 0.500, 0.000)
In (0.500, 0.500, 0.338)
In (0.500, 0.500, 0.662)